# AcNd5Er3
Calculated PXRD pattern, a wavelength of 1.5418 Å. Input: a crystal structure in Alexandria, relaxed with PBE.

Largest 6 diffraction maxima, sorted by position, 5 to 70 degrees two-theta:
| 2θ (°) | intensity |
| --- | --- |
| 30.60 | 23 |
| 30.77 | 100 |
| 31.25 | 25 |
| 44.30 | 16 |
| 55.33 | 14 |
| 60.80 | 14 |

Crystal structure
```
AcNd5Er3
1.0
7.7042 -5.0560 0.0000
7.7042 5.0560 0.0000
-4.5282 0.0000 7.9786
Ac Nd Er
2 10 6
Cartesian
4.3080 4.0856 5.9840
6.5721 -4.0856 1.9947
2.2217 1.0926 0.5627
0.9100 0.7019 7.1490
-0.0424 -1.0926 4.5520
3.1741 -0.7019 3.1597
4.3080 0.6032 5.9840
6.5721 -0.6032 1.9947
7.7061 0.7019 4.8189
10.9226 1.0926 3.4266
9.9702 -0.7019 0.8296
8.6585 -1.0926 7.4159
1.5880 2.5280 3.9893
4.8838 2.4962 2.6856
8.2605 2.4962 1.3037
3.8521 -2.5280 0.0000
2.6197 -2.4962 6.6749
5.9964 -2.4962 5.2930
```